For NpCdHgPb, a crystal structure in Alexandria, relaxed with PBE gives the simulated powder diffractogram in this record (CuKα).

Atomic structure:
Unit cell a=7.4617 b=7.4617 c=7.4617 alpha=90.00 beta=90.00 gamma=90.00
Space group F-43m (No. 216)
Asymmetric unit:
Np  0.0000  0.0000  0.0000 (multiplicity 4)
Cd  0.0000  0.0000  0.5000 (multiplicity 4)
Hg  0.2500  0.2500  0.2500 (multiplicity 4)
Pb  0.2500  0.2500  0.7500 (multiplicity 4)

The 10 most intense peaks (2θ = 10–80°), in order of rising 2θ:
(1 1 1), 2θ 20.6, intensity 5.2
(2 0 0), 2θ 23.9, intensity 0.7
(2 2 0), 2θ 34.0, intensity 100.0
(3 1 1), 2θ 40.1, intensity 3.1
(4 0 0), 2θ 48.8, intensity 18.3
(3 3 1), 2θ 53.5, intensity 1.5
(4 2 2), 2θ 60.8, intensity 38.2
(5 1 1), 2θ 64.9, intensity 1.1
(4 4 0), 2θ 71.5, intensity 11.9
(5 3 1), 2θ 75.4, intensity 1.2